MgCoNi2O5: theoretical X-ray diffraction stick pattern (Cu Kα, 1.54184 Å), based on a structure optimized by DFT (GGA+U).
No peak broadening, texture or thermal motion is included.

Top 6 peaks for 10 to 90 degrees two-theta, in order of falling intensity:
35.65 deg, rel. 100; 19.23 deg, rel. 69; 51.49 deg, rel. 42; 34.77 deg, rel. 30; 50.02 deg, rel. 23; 47.49 deg, rel. 23

Atomic structure:
Cell lengths 3.4812, 5.1612, 10.3074 Å; angles 90.00, 90.00, 90.00 degrees
Space group Immm (No. 71)
One atom of each set of equivalent atoms:
1 Mg 0.0000 0.0000 0.0000 x2
2 Co 0.0000 0.0000 0.5000 x2
3 Ni 0.0000 0.5000 0.1998 x4
4 O 0.0000 0.2524 0.3658 x8
5 O 0.0000 0.5000 0.0000 x2